[1]
Simulated XRD peak list of CePr4As5 for Cu Kα (λ = 1.5418 Å), from a cell relaxed with PBE.

Crystal structure
```
data_CePr4As5
_symmetry_space_group_name_H-M 'P 1'
_symmetry_Int_Tables_number 1
_symmetry_space_group_name_Hall 'P 1'
_cell_length_a 15.452
_cell_length_b 15.452
_cell_length_c 15.452
_cell_angle_alpha 164.03
_cell_angle_beta 164.03
_cell_angle_gamma 22.66
loop_
_atom_site_label
_atom_site_type_symbol
_atom_site_fract_x
_atom_site_fract_y
_atom_site_fract_z
Ce1 Ce 0.000 0.000 0.000
Pr1 Pr 0.200 0.200 0.000
Pr2 Pr 0.399 0.399 0.000
Pr3 Pr 0.601 0.601 0.000
Pr4 Pr 0.800 0.800 0.000
As1 As 0.098 0.098 0.000
As2 As 0.300 0.300 0.000
As3 As 0.500 0.500 0.000
As4 As 0.700 0.700 0.000
As5 As 0.902 0.902 0.000
```

Largest 12 diffraction maxima, sorted by position, 15 to 90 degrees two-theta:
2θ (°)  I (rel.)
25.42  16
29.44  100
42.12  75
49.84  8
52.22  27
61.03  8
61.17  4
67.25  3
69.20  23
69.31  11
76.97  25
82.57  2

***

[2]
Simulated XRD peak list of TlVCo2Ag for Cu Kα (λ = 1.5418 Å), from a cell relaxed with PBE.

Crystal structure
```
data_TlVCo2Ag
_symmetry_space_group_name_H-M 'P 1'
_symmetry_Int_Tables_number 1
_symmetry_space_group_name_Hall 'P 1'
_cell_length_a 4.778
_cell_length_b 4.778
_cell_length_c 5.001
_cell_angle_alpha 90.00
_cell_angle_beta 90.00
_cell_angle_gamma 90.00
loop_
_atom_site_label
_atom_site_type_symbol
_atom_site_fract_x
_atom_site_fract_y
_atom_site_fract_z
Tl1 Tl 0.000 0.000 0.000
V1 V 0.000 0.000 0.500
Co1 Co 0.000 0.500 0.000
Co2 Co 0.500 0.000 0.000
Ag1 Ag 0.500 0.500 0.500
```

Largest 12 diffraction maxima, sorted by position, 15 to 90 degrees two-theta:
2θ (°)  I (rel.)
17.74  23
18.57  30
25.79  100
26.38  39
35.92  37
37.65  65
45.11  19
46.20  43
53.01  47
54.30  22
66.83  23
71.82  12

***

[3]
Simulated XRD peak list of K2YS2 for Cu Kα (λ = 1.5418 Å), from a cell relaxed with PBE.

Crystal structure
```
data_K2YS2
_symmetry_space_group_name_H-M 'P 1'
_symmetry_Int_Tables_number 1
_symmetry_space_group_name_Hall 'P 1'
_cell_length_a 8.414
_cell_length_b 8.414
_cell_length_c 3.601
_cell_angle_alpha 90.00
_cell_angle_beta 90.00
_cell_angle_gamma 90.00
loop_
_atom_site_label
_atom_site_type_symbol
_atom_site_fract_x
_atom_site_fract_y
_atom_site_fract_z
K1 K 0.115 0.385 0.000
K2 K 0.385 0.885 0.000
K3 K 0.615 0.115 0.000
K4 K 0.885 0.615 0.000
Y1 Y 0.000 0.000 0.000
Y2 Y 0.500 0.500 0.000
S1 S 0.189 0.689 0.500
S2 S 0.311 0.189 0.500
S3 S 0.689 0.811 0.500
S4 S 0.811 0.311 0.500
```

Largest 12 diffraction maxima, sorted by position, 15 to 90 degrees two-theta:
2θ (°)  I (rel.)
21.12  18
24.73  26
28.99  18
30.04  46
32.74  100
33.69  91
34.48  72
38.58  20
42.23  46
50.71  17
61.85  36
62.27  28

***

[4]
Simulated XRD peak list of Ti2CoH2 for Cu Kα (λ = 1.5418 Å), from a cell relaxed with PBE.

Crystal structure
```
data_Ti2CoH2
_symmetry_space_group_name_H-M 'P 1'
_symmetry_Int_Tables_number 1
_symmetry_space_group_name_Hall 'P 1'
_cell_length_a 5.924
_cell_length_b 5.924
_cell_length_c 5.924
_cell_angle_alpha 151.39
_cell_angle_beta 151.39
_cell_angle_gamma 40.90
loop_
_atom_site_label
_atom_site_type_symbol
_atom_site_fract_x
_atom_site_fract_y
_atom_site_fract_z
Ti1 Ti 0.138 0.138 0.000
Ti2 Ti 0.862 0.862 0.000
Co1 Co 0.500 0.500 0.000
H1 H 0.250 0.750 0.500
H2 H 0.750 0.250 0.500
```

Largest 12 diffraction maxima, sorted by position, 15 to 90 degrees two-theta:
2θ (°)  I (rel.)
15.97  22
39.24  100
43.73  42
46.85  7
49.25  7
51.68  20
63.57  13
67.96  10
77.32  23
83.96  8
84.39  5
86.26  8

***

[5]
Simulated XRD peak list of KZn2PbCl for Cu Kα (λ = 1.5418 Å), from a cell relaxed with PBE.

Crystal structure
```
data_KZn2PbCl
_symmetry_space_group_name_H-M 'P 1'
_symmetry_Int_Tables_number 1
_symmetry_space_group_name_Hall 'P 1'
_cell_length_a 6.006
_cell_length_b 6.006
_cell_length_c 5.394
_cell_angle_alpha 90.00
_cell_angle_beta 90.00
_cell_angle_gamma 90.00
loop_
_atom_site_label
_atom_site_type_symbol
_atom_site_fract_x
_atom_site_fract_y
_atom_site_fract_z
K1 K 0.000 0.000 0.000
Zn1 Zn 0.000 0.500 0.000
Zn2 Zn 0.500 0.000 0.000
Pb1 Pb 0.500 0.500 0.500
Cl1 Cl 0.000 0.000 0.500
```

Largest 12 diffraction maxima, sorted by position, 15 to 90 degrees two-theta:
2θ (°)  I (rel.)
20.92  15
22.15  57
26.72  100
29.75  59
33.22  22
37.40  31
42.58  22
45.19  37
50.98  34
55.05  22
55.50  13
79.78  15

***

[6]
Simulated XRD peak list of KCa2Br5 for Cu Kα (λ = 1.5418 Å), from a cell relaxed with PBE.

Crystal structure
```
data_KCa2Br5
_symmetry_space_group_name_H-M 'P 1'
_symmetry_Int_Tables_number 1
_symmetry_space_group_name_Hall 'P 1'
_cell_length_a 8.915
_cell_length_b 8.915
_cell_length_c 8.915
_cell_angle_alpha 150.88
_cell_angle_beta 130.57
_cell_angle_gamma 58.40
loop_
_atom_site_label
_atom_site_type_symbol
_atom_site_fract_x
_atom_site_fract_y
_atom_site_fract_z
K1 K 0.000 0.000 0.000
Ca1 Ca 0.315 0.815 0.500
Ca2 Ca 0.685 0.185 0.500
Br1 Br 0.083 0.344 0.738
Br2 Br 0.394 0.656 0.738
Br3 Br 0.500 0.000 0.500
Br4 Br 0.606 0.344 0.262
Br5 Br 0.917 0.656 0.262
```

Largest 12 diffraction maxima, sorted by position, 15 to 90 degrees two-theta:
2θ (°)  I (rel.)
23.15  23
26.27  95
26.51  24
31.74  100
33.29  47
34.58  41
35.79  47
40.23  35
42.89  24
48.86  26
52.06  29
53.17  24

***

[7]
Simulated XRD peak list of Pu4Pa2Ga3 for Cu Kα (λ = 1.5418 Å), from a cell relaxed with PBE.

Crystal structure
```
data_Pu4Pa2Ga3
_symmetry_space_group_name_H-M 'P 1'
_symmetry_Int_Tables_number 1
_symmetry_space_group_name_Hall 'P 1'
_cell_length_a 5.149
_cell_length_b 5.281
_cell_length_c 8.242
_cell_angle_alpha 76.60
_cell_angle_beta 84.03
_cell_angle_gamma 63.14
loop_
_atom_site_label
_atom_site_type_symbol
_atom_site_fract_x
_atom_site_fract_y
_atom_site_fract_z
Pu1 Pu 0.159 0.167 0.468
Pu2 Pu 0.334 0.024 0.194
Pu3 Pu 0.666 0.976 0.806
Pu4 Pu 0.841 0.833 0.532
Pa1 Pa 0.346 0.669 0.847
Pa2 Pa 0.654 0.331 0.153
Ga1 Ga 0.011 0.316 0.831
Ga2 Ga 0.500 0.500 0.500
Ga3 Ga 0.989 0.684 0.169
```

Largest 12 diffraction maxima, sorted by position, 15 to 90 degrees two-theta:
2θ (°)  I (rel.)
20.13  41
22.31  33
25.11  27
33.53  100
35.01  57
35.12  60
35.63  45
36.29  96
37.72  79
39.30  35
42.87  28
64.12  29

***

[8]
Simulated XRD peak list of Ho2Tm6Ga for Cu Kα (λ = 1.5418 Å), from a cell relaxed with PBE.

Crystal structure
```
data_Ho2Tm6Ga
_symmetry_space_group_name_H-M 'P 1'
_symmetry_Int_Tables_number 1
_symmetry_space_group_name_Hall 'P 1'
_cell_length_a 9.631
_cell_length_b 9.631
_cell_length_c 3.472
_cell_angle_alpha 90.00
_cell_angle_beta 90.00
_cell_angle_gamma 123.88
loop_
_atom_site_label
_atom_site_type_symbol
_atom_site_fract_x
_atom_site_fract_y
_atom_site_fract_z
Ho1 Ho 0.180 0.820 0.000
Ho2 Ho 0.820 0.180 0.000
Tm1 Tm 0.165 0.488 0.500
Tm2 Tm 0.213 0.213 0.000
Tm3 Tm 0.488 0.165 0.500
Tm4 Tm 0.512 0.835 0.500
Tm5 Tm 0.787 0.787 0.000
Tm6 Tm 0.835 0.512 0.500
Ga1 Ga 0.500 0.500 0.500
```

Largest 12 diffraction maxima, sorted by position, 15 to 90 degrees two-theta:
2θ (°)  I (rel.)
28.02  44
31.58  67
31.80  32
33.32  24
33.62  100
34.20  67
38.36  26
38.95  38
54.53  19
57.59  35
62.77  19
64.00  33

***

[9]
Simulated XRD peak list of B2C for Cu Kα (λ = 1.5418 Å), from a cell relaxed with PBE.

Crystal structure
```
data_B2C
_symmetry_space_group_name_H-M 'P 1'
_symmetry_Int_Tables_number 1
_symmetry_space_group_name_Hall 'P 1'
_cell_length_a 6.761
_cell_length_b 6.761
_cell_length_c 4.741
_cell_angle_alpha 110.18
_cell_angle_beta 110.18
_cell_angle_gamma 23.26
loop_
_atom_site_label
_atom_site_type_symbol
_atom_site_fract_x
_atom_site_fract_y
_atom_site_fract_z
B1 B 0.000 0.000 0.000
B2 B 0.172 0.172 0.846
B3 B 0.364 0.364 0.361
B4 B 0.436 0.436 0.105
B5 B 0.501 0.501 0.515
B6 B 0.794 0.794 0.466
B7 B 0.858 0.858 0.874
B8 B 0.923 0.923 0.597
C1 C 0.127 0.127 0.138
C2 C 0.308 0.308 0.981
C3 C 0.627 0.627 0.621
C4 C 0.667 0.667 0.343
```

Largest 12 diffraction maxima, sorted by position, 15 to 90 degrees two-theta:
2θ (°)  I (rel.)
28.81  41
37.96  48
38.08  100
40.67  11
40.86  44
43.82  22
48.36  17
59.52  12
68.65  44
68.88  22
72.90  30
73.16  31

***

[10]
Simulated XRD peak list of SrNi2H8Pb for Cu Kα (λ = 1.5418 Å), from a cell relaxed with PBE.

Crystal structure
```
data_SrNi2H8Pb
_symmetry_space_group_name_H-M 'P 1'
_symmetry_Int_Tables_number 1
_symmetry_space_group_name_Hall 'P 1'
_cell_length_a 4.326
_cell_length_b 4.326
_cell_length_c 7.222
_cell_angle_alpha 90.00
_cell_angle_beta 90.00
_cell_angle_gamma 120.00
loop_
_atom_site_label
_atom_site_type_symbol
_atom_site_fract_x
_atom_site_fract_y
_atom_site_fract_z
Sr1 Sr 0.000 0.000 0.000
Ni1 Ni 0.333 0.667 0.713
Ni2 Ni 0.667 0.333 0.287
H1 H 0.072 0.539 0.251
H2 H 0.333 0.667 0.921
H3 H 0.461 0.533 0.251
H4 H 0.467 0.928 0.251
H5 H 0.533 0.072 0.749
H6 H 0.539 0.467 0.749
H7 H 0.667 0.333 0.079
H8 H 0.928 0.461 0.749
Pb1 Pb 0.000 0.000 0.500
```

Largest 12 diffraction maxima, sorted by position, 15 to 90 degrees two-theta:
2θ (°)  I (rel.)
23.75  49
26.81  33
34.50  100
41.76  42
43.68  9
44.75  12
49.10  10
55.24  25
56.59  14
67.58  15
71.57  24
87.56  9